This entry pairs a crystal structure of Cd12Ag6Sn with its computed powder X-ray diffraction pattern. Radiation: Cu Ka. Structure: DFT lattice parameters and positions (PBE).
Peak positions follow from Bragg's law for the DFT cell and can differ from measured ones.

Top 12 peaks for 15 to 90 degrees two-theta, by angle:
- 2θ = 24.31°, intensity 14
- 2θ = 29.20°, intensity 13
- 2θ = 35.54°, intensity 100
- 2θ = 36.11°, intensity 50
- 2θ = 38.06°, intensity 88
- 2θ = 38.32°, intensity 30
- 2θ = 38.63°, intensity 15
- 2θ = 39.16°, intensity 26
- 2θ = 44.99°, intensity 17
- 2θ = 63.76°, intensity 14
- 2θ = 65.32°, intensity 11
- 2θ = 66.78°, intensity 21

Cell lengths 7.684, 7.684, 7.684 Å; angles 103.75, 103.75, 103.75 degrees
Fractional coordinates of all 19 atoms:
Cd1 0.001 0.267 0.734
Cd2 0.196 0.570 0.573
Cd3 0.266 0.999 0.733
Cd4 0.267 0.734 0.001
Cd5 0.427 0.804 0.430
Cd6 0.430 0.427 0.804
Cd7 0.570 0.573 0.196
Cd8 0.573 0.196 0.570
Cd9 0.733 0.266 0.999
Cd10 0.734 0.001 0.267
Cd11 0.804 0.430 0.427
Cd12 0.999 0.733 0.266
Ag1 0.163 0.420 0.165
Ag2 0.165 0.163 0.420
Ag3 0.420 0.165 0.163
Ag4 0.580 0.835 0.837
Ag5 0.835 0.837 0.580
Ag6 0.837 0.580 0.835
Sn1 0.000 0.000 0.000

---

This entry pairs a crystal structure of Sm2GePbO6 with its computed powder X-ray diffraction pattern. Radiation: Cu Ka. Structure: DFT lattice parameters and positions (PBE).
Peak positions follow from Bragg's law for the DFT cell and can differ from measured ones.

Top 12 peaks for 15 to 90 degrees two-theta, by angle:
- 2θ = 16.27°, intensity 18
- 2θ = 28.39°, intensity 100
- 2θ = 32.90°, intensity 45
- 2θ = 36.89°, intensity 12
- 2θ = 40.56°, intensity 12
- 2θ = 47.21°, intensity 44
- 2θ = 55.94°, intensity 9
- 2θ = 56.04°, intensity 31
- 2θ = 58.74°, intensity 9
- 2θ = 63.96°, intensity 9
- 2θ = 76.22°, intensity 14
- 2θ = 78.62°, intensity 10

Cell lengths 5.441, 5.441, 5.454 Å; angles 90.00, 90.00, 90.00 degrees
Fractional coordinates of all 10 atoms:
Sm1 0.000 0.500 0.000
Sm2 0.500 0.000 0.000
Ge1 0.000 0.000 0.632
Pb1 0.500 0.500 0.547
O1 0.000 0.000 0.303
O2 0.227 0.227 0.765
O3 0.227 0.773 0.765
O4 0.500 0.500 0.111
O5 0.773 0.227 0.765
O6 0.773 0.773 0.765

---

This entry pairs a crystal structure of Ho4Ga3Rh with its computed powder X-ray diffraction pattern. Radiation: Cu Ka. Structure: DFT lattice parameters and positions (PBE).
Peak positions follow from Bragg's law for the DFT cell and can differ from measured ones.

Top 12 peaks for 15 to 90 degrees two-theta, by angle:
- 2θ = 26.41°, intensity 25
- 2θ = 32.06°, intensity 100
- 2θ = 32.84°, intensity 23
- 2θ = 33.70°, intensity 41
- 2θ = 39.13°, intensity 24
- 2θ = 39.87°, intensity 44
- 2θ = 42.07°, intensity 26
- 2θ = 46.57°, intensity 19
- 2θ = 54.36°, intensity 18
- 2θ = 54.95°, intensity 20
- 2θ = 64.54°, intensity 15
- 2θ = 79.94°, intensity 14

Cell lengths 3.901, 4.295, 10.909 Å; angles 90.00, 90.00, 90.00 degrees
Fractional coordinates of all 8 atoms:
Ho1 0.000 0.000 0.000
Ho2 0.000 0.500 0.270
Ho3 0.500 0.000 0.473
Ho4 0.500 0.500 0.780
Ga1 0.000 0.000 0.706
Ga2 0.000 0.500 0.556
Ga3 0.500 0.500 0.056
Rh1 0.500 0.000 0.205

---

This entry pairs a crystal structure of LiScNi10 with its computed powder X-ray diffraction pattern. Radiation: Cu Ka. Structure: DFT lattice parameters and positions (PBE).
Peak positions follow from Bragg's law for the DFT cell and can differ from measured ones.

Top 12 peaks for 15 to 90 degrees two-theta, by angle:
- 2θ = 21.74°, intensity 80
- 2θ = 38.13°, intensity 13
- 2θ = 44.28°, intensity 17
- 2θ = 44.66°, intensity 100
- 2θ = 45.68°, intensity 39
- 2θ = 50.20°, intensity 80
- 2θ = 51.14°, intensity 15
- 2θ = 65.54°, intensity 14
- 2θ = 73.42°, intensity 13
- 2θ = 81.66°, intensity 13
- 2θ = 83.77°, intensity 14
- 2θ = 87.86°, intensity 14

Cell lengths 3.972, 4.727, 8.163 Å; angles 90.00, 90.00, 90.00 degrees
Fractional coordinates of all 12 atoms:
Li1 0.000 0.000 0.000
Sc1 0.000 0.500 0.500
Ni1 0.000 0.000 0.330
Ni2 0.000 0.000 0.670
Ni3 0.000 0.500 0.165
Ni4 0.000 0.500 0.835
Ni5 0.500 0.000 0.500
Ni6 0.500 0.252 0.251
Ni7 0.500 0.252 0.749
Ni8 0.500 0.500 0.000
Ni9 0.500 0.748 0.251
Ni10 0.500 0.748 0.749

---

This entry pairs a crystal structure of NaTl2Hg with its computed powder X-ray diffraction pattern. Radiation: Cu Ka. Structure: DFT lattice parameters and positions (PBE).
Peak positions follow from Bragg's law for the DFT cell and can differ from measured ones.

Top 12 peaks for 15 to 90 degrees two-theta, by angle:
- 2θ = 17.42°, intensity 53
- 2θ = 20.19°, intensity 34
- 2θ = 23.45°, intensity 30
- 2θ = 28.60°, intensity 52
- 2θ = 30.10°, intensity 74
- 2θ = 32.49°, intensity 50
- 2θ = 34.97°, intensity 56
- 2θ = 35.26°, intensity 100
- 2θ = 36.14°, intensity 66
- 2θ = 50.78°, intensity 26
- 2θ = 62.33°, intensity 34
- 2θ = 63.22°, intensity 30

Cell lengths 8.730, 8.730, 8.798 Å; angles 90.00, 90.00, 134.36 degrees
Fractional coordinates of all 16 atoms:
Na1 0.122 0.878 0.952
Na2 0.378 0.622 0.452
Na3 0.622 0.378 0.548
Na4 0.878 0.122 0.048
Tl1 0.041 0.459 0.750
Tl2 0.149 0.851 0.565
Tl3 0.351 0.649 0.065
Tl4 0.459 0.041 0.250
Tl5 0.541 0.959 0.750
Tl6 0.649 0.351 0.935
Tl7 0.851 0.149 0.435
Tl8 0.959 0.541 0.250
Hg1 0.025 0.975 0.275
Hg2 0.475 0.525 0.775
Hg3 0.525 0.475 0.225
Hg4 0.975 0.025 0.725

---

This entry pairs a crystal structure of LiNdP2O6 with its computed powder X-ray diffraction pattern. Radiation: Cu Ka. Structure: DFT lattice parameters and positions (PBE).
Peak positions follow from Bragg's law for the DFT cell and can differ from measured ones.

Top 12 peaks for 15 to 90 degrees two-theta, by angle:
- 2θ = 15.59°, intensity 60
- 2θ = 19.84°, intensity 86
- 2θ = 28.43°, intensity 100
- 2θ = 32.58°, intensity 16
- 2θ = 33.46°, intensity 35
- 2θ = 37.11°, intensity 62
- 2θ = 41.88°, intensity 20
- 2θ = 44.47°, intensity 18
- 2θ = 46.60°, intensity 20
- 2θ = 46.90°, intensity 21
- 2θ = 56.78°, intensity 19
- 2θ = 59.81°, intensity 21

Cell lengths 6.472, 6.472, 6.472 Å; angles 48.88, 48.88, 48.88 degrees
Fractional coordinates of all 10 atoms:
Li1 0.000 0.000 0.000
Nd1 0.500 0.500 0.500
P1 0.233 0.233 0.233
P2 0.767 0.767 0.767
O1 0.031 0.469 0.733
O2 0.267 0.969 0.531
O3 0.469 0.733 0.031
O4 0.531 0.267 0.969
O5 0.733 0.031 0.469
O6 0.969 0.531 0.267

---

This entry pairs a crystal structure of TiCu2S4 with its computed powder X-ray diffraction pattern. Radiation: Cu Ka. Structure: DFT lattice parameters and positions (PBE).
Peak positions follow from Bragg's law for the DFT cell and can differ from measured ones.

Top 12 peaks for 15 to 90 degrees two-theta, by angle:
- 2θ = 24.63°, intensity 45
- 2θ = 27.57°, intensity 30
- 2θ = 27.85°, intensity 56
- 2θ = 30.15°, intensity 63
- 2θ = 30.89°, intensity 47
- 2θ = 32.66°, intensity 36
- 2θ = 37.43°, intensity 47
- 2θ = 49.46°, intensity 30
- 2θ = 50.51°, intensity 100
- 2θ = 52.71°, intensity 27
- 2θ = 55.20°, intensity 30
- 2θ = 79.87°, intensity 21

Cell lengths 7.294, 7.294, 7.294 Å; angles 125.72, 123.13, 82.51 degrees
Fractional coordinates of all 14 atoms:
Ti1 0.500 0.000 0.000
Ti2 0.500 0.500 0.500
Cu1 0.000 0.000 0.000
Cu2 0.149 0.399 0.750
Cu3 0.500 0.000 0.500
Cu4 0.851 0.601 0.250
S1 0.238 0.731 0.507
S2 0.270 0.242 0.472
S3 0.270 0.798 0.028
S4 0.276 0.269 0.007
S5 0.724 0.731 0.993
S6 0.730 0.202 0.972
S7 0.730 0.758 0.528
S8 0.762 0.269 0.493

---

This entry pairs a crystal structure of NaNpHO5 with its computed powder X-ray diffraction pattern. Radiation: Cu Ka. Structure: DFT lattice parameters and positions (PBE).
Peak positions follow from Bragg's law for the DFT cell and can differ from measured ones.

Top 12 peaks for 15 to 90 degrees two-theta, by angle:
- 2θ = 17.51°, intensity 100
- 2θ = 17.74°, intensity 47
- 2θ = 23.44°, intensity 63
- 2θ = 24.01°, intensity 20
- 2θ = 30.01°, intensity 25
- 2θ = 30.42°, intensity 18
- 2θ = 30.85°, intensity 23
- 2θ = 34.02°, intensity 13
- 2θ = 34.68°, intensity 12
- 2θ = 35.23°, intensity 12
- 2θ = 35.44°, intensity 13
- 2θ = 44.90°, intensity 12

Cell lengths 5.996, 5.996, 7.914 Å; angles 101.14, 101.14, 112.96 degrees
Fractional coordinates of all 16 atoms:
Na1 0.040 0.960 0.750
Na2 0.960 0.040 0.250
Np1 0.000 0.500 0.000
Np2 0.500 0.000 0.500
H1 0.313 0.687 0.750
H2 0.687 0.313 0.250
O1 0.149 0.297 0.067
O2 0.208 0.792 0.250
O3 0.272 0.665 0.889
O4 0.297 0.149 0.567
O5 0.335 0.728 0.611
O6 0.665 0.272 0.389
O7 0.703 0.851 0.433
O8 0.728 0.335 0.111
O9 0.792 0.208 0.750
O10 0.851 0.703 0.933

---

This entry pairs a crystal structure of Cs3TmI8 with its computed powder X-ray diffraction pattern. Radiation: Cu Ka. Structure: DFT lattice parameters and positions (PBE).
Peak positions follow from Bragg's law for the DFT cell and can differ from measured ones.

Top 12 peaks for 15 to 90 degrees two-theta, by angle:
- 2θ = 17.71°, intensity 58
- 2θ = 29.06°, intensity 100
- 2θ = 29.20°, intensity 49
- 2θ = 34.12°, intensity 10
- 2θ = 34.36°, intensity 19
- 2θ = 37.24°, intensity 10
- 2θ = 37.86°, intensity 12
- 2θ = 41.77°, intensity 14
- 2θ = 45.51°, intensity 13
- 2θ = 51.43°, intensity 12
- 2θ = 51.69°, intensity 23
- 2θ = 59.66°, intensity 9

Cell lengths 10.661, 10.661, 10.661 Å; angles 132.13, 132.13, 70.02 degrees
Fractional coordinates of all 12 atoms:
Cs1 0.000 0.000 0.000
Cs2 0.250 0.750 0.500
Cs3 0.750 0.250 0.500
Tm1 0.500 0.500 0.000
I1 0.179 0.179 0.573
I2 0.179 0.607 0.000
I3 0.393 0.393 0.573
I4 0.393 0.821 0.000
I5 0.607 0.179 0.000
I6 0.607 0.607 0.427
I7 0.821 0.393 0.000
I8 0.821 0.821 0.427

---

This entry pairs a crystal structure of PmCd11Ni with its computed powder X-ray diffraction pattern. Radiation: Cu Ka. Structure: DFT lattice parameters and positions (PBE).
Peak positions follow from Bragg's law for the DFT cell and can differ from measured ones.

Top 12 peaks for 15 to 90 degrees two-theta, by angle:
- 2θ = 30.86°, intensity 17
- 2θ = 31.30°, intensity 24
- 2θ = 31.86°, intensity 15
- 2θ = 35.75°, intensity 100
- 2θ = 35.88°, intensity 15
- 2θ = 36.41°, intensity 49
- 2θ = 36.91°, intensity 22
- 2θ = 39.94°, intensity 15
- 2θ = 40.87°, intensity 26
- 2θ = 41.51°, intensity 12
- 2θ = 64.25°, intensity 25
- 2θ = 65.30°, intensity 11

Cell lengths 7.678, 7.678, 7.552 Å; angles 97.38, 97.38, 137.07 degrees
Fractional coordinates of all 13 atoms:
Pm1 0.000 0.000 0.000
Cd1 0.000 0.000 0.500
Cd2 0.000 0.500 0.000
Cd3 0.023 0.360 0.361
Cd4 0.305 0.509 0.783
Cd5 0.360 0.023 0.361
Cd6 0.491 0.695 0.217
Cd7 0.500 0.000 0.000
Cd8 0.509 0.305 0.783
Cd9 0.640 0.977 0.639
Cd10 0.695 0.491 0.217
Cd11 0.977 0.640 0.639
Ni1 0.500 0.500 0.500

---

This entry pairs a crystal structure of SrZnS2 with its computed powder X-ray diffraction pattern. Radiation: Cu Ka. Structure: DFT lattice parameters and positions (PBE).
Peak positions follow from Bragg's law for the DFT cell and can differ from measured ones.

Top 12 peaks for 15 to 90 degrees two-theta, by angle:
- 2θ = 25.94°, intensity 23
- 2θ = 28.66°, intensity 100
- 2θ = 37.01°, intensity 36
- 2θ = 47.47°, intensity 45
- 2θ = 52.37°, intensity 28
- 2θ = 53.35°, intensity 10
- 2θ = 59.34°, intensity 8
- 2θ = 60.25°, intensity 8
- 2θ = 61.68°, intensity 10
- 2θ = 74.16°, intensity 11
- 2θ = 78.02°, intensity 12
- 2θ = 84.34°, intensity 8

Cell lengths 6.870, 6.870, 8.116 Å; angles 90.00, 90.00, 90.00 degrees
Fractional coordinates of all 16 atoms:
Sr1 0.000 0.000 0.000
Sr2 0.000 0.500 0.250
Sr3 0.500 0.000 0.750
Sr4 0.500 0.500 0.500
Zn1 0.000 0.000 0.500
Zn2 0.000 0.500 0.750
Zn3 0.500 0.000 0.250
Zn4 0.500 0.500 0.000
S1 0.184 0.250 0.625
S2 0.250 0.684 0.875
S3 0.250 0.816 0.375
S4 0.316 0.250 0.125
S5 0.684 0.750 0.125
S6 0.750 0.184 0.375
S7 0.750 0.316 0.875
S8 0.816 0.750 0.625

---

This entry pairs a crystal structure of Cs2ScB2O6 with its computed powder X-ray diffraction pattern. Radiation: Cu Ka. Structure: DFT lattice parameters and positions (PBE).
Peak positions follow from Bragg's law for the DFT cell and can differ from measured ones.

Top 12 peaks for 15 to 90 degrees two-theta, by angle:
- 2θ = 20.55°, intensity 52
- 2θ = 25.01°, intensity 35
- 2θ = 27.91°, intensity 100
- 2θ = 32.94°, intensity 53
- 2θ = 34.57°, intensity 32
- 2θ = 35.25°, intensity 13
- 2θ = 39.14°, intensity 29
- 2θ = 41.80°, intensity 24
- 2θ = 43.71°, intensity 13
- 2θ = 50.51°, intensity 34
- 2θ = 55.80°, intensity 21
- 2θ = 59.88°, intensity 14

Cell lengths 7.905, 7.905, 7.905 Å; angles 40.24, 40.24, 40.24 degrees
Fractional coordinates of all 11 atoms:
Cs1 0.217 0.217 0.217
Cs2 0.783 0.783 0.783
Sc1 0.000 0.000 0.000
B1 0.387 0.387 0.387
B2 0.613 0.613 0.613
O1 0.242 0.242 0.682
O2 0.242 0.682 0.242
O3 0.318 0.758 0.758
O4 0.682 0.242 0.242
O5 0.758 0.318 0.758
O6 0.758 0.758 0.318

---

This entry pairs a crystal structure of BaCa5Mg6 with its computed powder X-ray diffraction pattern. Radiation: Cu Ka. Structure: DFT lattice parameters and positions (PBE).
Peak positions follow from Bragg's law for the DFT cell and can differ from measured ones.

Top 12 peaks for 15 to 90 degrees two-theta, by angle:
- 2θ = 19.74°, intensity 8
- 2θ = 21.99°, intensity 15
- 2θ = 22.19°, intensity 7
- 2θ = 31.21°, intensity 21
- 2θ = 31.43°, intensity 100
- 2θ = 44.85°, intensity 14
- 2θ = 55.68°, intensity 14
- 2θ = 55.91°, intensity 14
- 2θ = 56.01°, intensity 7
- 2θ = 56.12°, intensity 7
- 2θ = 65.62°, intensity 8
- 2θ = 74.29°, intensity 8

Cell lengths 9.018, 9.018, 8.012 Å; angles 90.00, 90.00, 142.94 degrees
Fractional coordinates of all 12 atoms:
Ba1 0.000 0.000 0.000
Ca1 0.000 0.000 0.500
Ca2 0.332 0.668 0.000
Ca3 0.337 0.663 0.500
Ca4 0.663 0.337 0.500
Ca5 0.668 0.332 0.000
Mg1 0.172 0.828 0.262
Mg2 0.172 0.828 0.738
Mg3 0.500 0.500 0.262
Mg4 0.500 0.500 0.738
Mg5 0.828 0.172 0.262
Mg6 0.828 0.172 0.738